# 1
Starting from a GGA-PBE-relaxed structure, the X-ray powder pattern of CsAgPtS2 was simulated for copper Kα.
No peak broadening, texture or thermal motion is included.

Cell and atoms:
```
CsAgPtS2
1.0
3.641 -7.926 0.000
3.641 7.926 0.000
0.000 0.000 4.815
Cs Ag Pt S
2 2 2 4
direct
0.250 0.750 0.939
0.750 0.250 0.061
0.000 0.000 0.000
0.500 0.500 0.000
0.250 0.250 0.500
0.750 0.750 0.500
0.096 0.904 0.458
0.404 0.596 0.458
0.596 0.404 0.542
0.904 0.096 0.542
```

Largest 8 diffraction maxima, low angle first, 2θ from 10° to 80°:
Position (°2θ)  I/Imax
11.2  85
21.6  49
22.4  66
30.8  53
37.4  25
38.4  100
44.0  19
56.2  26

---

# 2
Starting from a GGA-PBE-relaxed structure, the X-ray powder pattern of Sm2Dy2Se2S3 was simulated for copper Kα.
No peak broadening, texture or thermal motion is included.

Cell and atoms:
```
Sm2Dy2Se2S3
1.0
-2.689 2.689 7.436
2.689 -2.689 7.436
2.689 2.689 -7.436
Sm Dy Se S
2 2 2 3
direct
0.201 0.201 0.000
0.799 0.799 0.000
0.000 0.500 0.500
0.500 0.000 0.500
0.398 0.398 0.000
0.602 0.602 0.000
0.000 0.000 0.000
0.250 0.750 0.500
0.750 0.250 0.500
```

Largest 8 diffraction maxima, low angle first, 2θ from 10° to 80°:
Position (°2θ)  I/Imax
23.9  23
26.3  82
33.3  100
33.7  37
34.5  57
47.8  36
48.7  42
55.4  22

---

# 3
Starting from a GGA-PBE-relaxed structure, the X-ray powder pattern of Pr7Tl2Co2 was simulated for copper Kα.
No peak broadening, texture or thermal motion is included.

Cell and atoms:
```
Pr7Tl2Co2
1.0
-1.874 8.342 5.238
1.874 -8.342 5.238
1.874 8.342 -5.238
Pr Tl Co
7 2 2
direct
0.000 0.000 0.000
0.298 0.433 0.865
0.310 0.627 0.683
0.568 0.433 0.135
0.634 0.286 0.348
0.937 0.286 0.652
0.944 0.627 0.317
0.262 0.762 0.500
0.671 0.671 0.000
0.175 0.941 0.234
0.707 0.941 0.766
```

Largest 8 diffraction maxima, low angle first, 2θ from 10° to 80°:
Position (°2θ)  I/Imax
29.8  44
30.2  100
32.2  35
33.3  95
33.5  42
35.1  23
48.5  42
58.3  33

---

# 4
Starting from a GGA-PBE-relaxed structure, the X-ray powder pattern of Sc3Mn3S8 was simulated for copper Kα.
No peak broadening, texture or thermal motion is included.

Cell and atoms:
```
Sc3Mn3S8
1.0
3.725 2.150 6.046
-3.725 2.150 6.046
0.000 -4.301 6.046
Sc Mn S
3 3 8
direct
0.000 0.500 0.500
0.500 0.000 0.500
0.500 0.500 0.000
0.124 0.124 0.124
0.500 0.500 0.500
0.876 0.876 0.876
0.256 0.256 0.256
0.261 0.261 0.730
0.261 0.730 0.261
0.270 0.739 0.739
0.730 0.261 0.261
0.739 0.270 0.739
0.739 0.739 0.270
0.744 0.744 0.744
```

Largest 8 diffraction maxima, low angle first, 2θ from 10° to 80°:
Position (°2θ)  I/Imax
23.9  48
28.1  100
28.2  38
34.1  81
44.8  52
48.9  71
49.1  71
71.8  20

---

What did the first record say?
Starting from a GGA-PBE-relaxed structure, the X-ray powder pattern of CsAgPtS2 was simulated for copper Kα.
No peak broadening, texture or thermal motion is included.

Cell and atoms:
```
CsAgPtS2
1.0
3.641 -7.926 0.000
3.641 7.926 0.000
0.000 0.000 4.815
Cs Ag Pt S
2 2 2 4
direct
0.250 0.750 0.939
0.750 0.250 0.061
0.000 0.000 0.000
0.500 0.500 0.000
0.250 0.250 0.500
0.750 0.750 0.500
0.096 0.904 0.458
0.404 0.596 0.458
0.596 0.404 0.542
0.904 0.096 0.542
```

Largest 8 diffraction maxima, low angle first, 2θ from 10° to 80°:
Position (°2θ)  I/Imax
11.2  85
21.6  49
22.4  66
30.8  53
37.4  25
38.4  100
44.0  19
56.2  26

---

Question: Number 2 is which compound?
Answer: Sm2Dy2Se2S3